No. 1
This entry pairs a crystal structure of AsRu2Rh with its calculated powder XRD pattern. Radiation: Cu Kα, 1.54184 Å. Structure: a crystal structure in Alexandria, relaxed with PBE.
Peak positions follow from Bragg's law for the DFT cell and can differ from measured ones.

Largest 6 diffraction maxima, by intensity, 10° ≤ 2θ ≤ 80°:
d 2.305, I = 100.0, hkl 1 1 1; d 1.912, I = 55.7, hkl 3 1 -1; d 2.232, I = 42.7, hkl 4 0 0; d 2.095, I = 37.3, hkl 2 0 -2; d 1.968, I = 29.1, hkl 2 0 2; d 1.408, I = 17.5, hkl 5 1 1

Structure:
```
data_AsRu2Rh
_chemical_formula_sum 'As2 Ru4 Rh2'
_cell_length_a 8.953
_cell_length_b 2.843
_cell_length_c 4.569
_cell_angle_alpha 90.00
_cell_angle_beta 94.41
_cell_angle_gamma 90.00
_space_group_name_H-M_alt 'C 1 m 1'
_space_group_IT_number 8
_space_group_name_Hall 'C -2y'
loop_
_atom_site_label
_atom_site_type_symbol
_atom_site_fract_x
_atom_site_fract_y
_atom_site_fract_z
_atom_site_occupancy
As1 As 0.000 0.000 0.000 1
Ru1 Ru 0.002 0.500 0.494 1
Ru2 Ru 0.269 0.500 0.281 1
Rh1 Rh 0.238 0.000 0.763 1
```

***

No. 2
This entry pairs a crystal structure of Sr with its calculated powder XRD pattern. Radiation: Cu Kα, 1.54184 Å. Structure: a crystal structure in Alexandria, relaxed with PBE.
Peak positions follow from Bragg's law for the DFT cell and can differ from measured ones.

Largest 6 diffraction maxima, by intensity, 10° ≤ 2θ ≤ 80°:
d 3.820, I = 100.0, hkl 1 0 0; d 2.701, I = 80.9, hkl 1 1 0; d 1.708, I = 40.3, hkl 2 1 0; d 2.206, I = 30.0, hkl 1 1 1; d 1.560, I = 29.8, hkl 2 1 1; d 1.273, I = 19.1, hkl 3 0 0

Structure:
```
data_Sr
_chemical_formula_sum 'Sr1'
_cell_length_a 3.820
_cell_length_b 3.820
_cell_length_c 3.820
_cell_angle_alpha 90.00
_cell_angle_beta 90.00
_cell_angle_gamma 90.00
_space_group_name_H-M_alt 'P m -3 m'
_space_group_IT_number 221
_space_group_name_Hall '-P 4 2 3'
loop_
_atom_site_label
_atom_site_type_symbol
_atom_site_fract_x
_atom_site_fract_y
_atom_site_fract_z
_atom_site_occupancy
Sr1 Sr 0.000 0.000 0.000 1
```

***

No. 3
This entry pairs a crystal structure of MgH4Ir2 with its calculated powder XRD pattern. Radiation: Cu Kα, 1.54184 Å. Structure: a crystal structure in Alexandria, relaxed with PBE.
Peak positions follow from Bragg's law for the DFT cell and can differ from measured ones.

Largest 6 diffraction maxima, by intensity, 10° ≤ 2θ ≤ 80°:
d 3.624, I = 100.0, hkl 0 2 0; d 2.290, I = 76.3, hkl 2 2 0; d 2.270, I = 74.9, hkl 0 2 2; d 2.955, I = 59.7, hkl 2 0 0; d 2.075, I = 59.6, hkl 2 0 2; d 2.913, I = 58.0, hkl 0 0 2

Structure:
```
data_MgH4Ir2
_chemical_formula_sum 'Mg4 H16 Ir8'
_cell_length_a 5.911
_cell_length_b 7.249
_cell_length_c 5.826
_cell_angle_alpha 90.00
_cell_angle_beta 90.00
_cell_angle_gamma 90.00
_space_group_name_H-M_alt 'F m m 2'
_space_group_IT_number 42
_space_group_name_Hall 'F 2 -2'
loop_
_atom_site_label
_atom_site_type_symbol
_atom_site_fract_x
_atom_site_fract_y
_atom_site_fract_z
_atom_site_occupancy
Mg1 Mg 0.000 0.000 0.000 1
H1 H 0.000 0.210 0.415 1
H2 H 0.239 0.000 0.741 1
Ir1 Ir 0.250 0.250 0.250 1
```

***

No. 4
This entry pairs a crystal structure of Nd2DyAgTe5 with its calculated powder XRD pattern. Radiation: Cu Kα, 1.54184 Å. Structure: a crystal structure in Alexandria, relaxed with PBE.
Peak positions follow from Bragg's law for the DFT cell and can differ from measured ones.

Largest 6 diffraction maxima, by intensity, 10° ≤ 2θ ≤ 80°:
d 3.078, I = 100.0, hkl 1 1 3; d 2.635, I = 51.4, hkl 1 5 2; d 2.197, I = 23.3, hkl 2 0 0; d 3.601, I = 15.1, hkl 1 1 2; d 2.410, I = 13.3, hkl 1 5 3; d 1.787, I = 13.0, hkl 2 6 1

Structure:
```
data_Nd2DyAgTe5
_chemical_formula_sum 'Nd8 Dy4 Ag4 Te20'
_cell_length_a 4.393
_cell_length_b 18.947
_cell_length_c 13.317
_cell_angle_alpha 90.00
_cell_angle_beta 90.00
_cell_angle_gamma 90.00
_space_group_name_H-M_alt 'C m c 21'
_space_group_IT_number 36
_space_group_name_Hall 'C 2c -2'
loop_
_atom_site_label
_atom_site_type_symbol
_atom_site_fract_x
_atom_site_fract_y
_atom_site_fract_z
_atom_site_occupancy
Nd1 Nd 0.000 0.111 0.000 1
Nd2 Nd 0.000 0.126 0.618 1
Dy1 Dy 0.000 0.192 0.322 1
Ag1 Ag 0.000 0.431 0.774 1
Te1 Te 0.000 0.043 0.391 1
Te2 Te 0.000 0.286 0.981 1
Te3 Te 0.000 0.306 0.654 1
Te4 Te 0.000 0.356 0.312 1
Te5 Te 0.000 0.499 0.093 1
```